Computed powder X-ray diffraction pattern of GaRuPb for λ = 1.5418 Å (Cu Kα), from a cell relaxed with GGA-PBE.

Crystal structure
Cell lengths 3.932, 9.959, 5.923 Å; angles 90.00, 90.00, 90.00 degrees
Space group Cmcm (No. 63)
Symmetry-distinct sites (fractional):
Ga 0.000 0.000 0.000 x4
Ru 0.000 0.439 0.250 x4
Pb 0.000 0.279 0.750 x4

The 6 most intense peaks (5° ≤ 2θ ≤ 70°), sorted by position:
d (Å)	2theta	intensity	(hkl)
3.112	28.7	79	1 1 1
2.961	30.2	37	0 0 2
2.332	38.6	100	1 3 1
2.302	39.1	56	1 1 2
2.295	39.3	38	0 4 1
1.557	59.3	43	1 3 3